# 1
Simulated powder X-ray diffraction pattern
Compound: ZnGa2Br4
Radiation: Cu Kα (λ = 1.5418 Å)
Structure: a DFT-relaxed cell (PBE, Alexandria)
No peak broadening, texture or thermal motion is included.

Peak list (10 most intense, 10 to 90 degrees two-theta, sorted by position)
- 2θ 15.2, I 39
- 2θ 23.5, I 46
- 2θ 24.0, I 37
- 2θ 25.7, I 88
- 2θ 27.2, I 71
- 2θ 34.1, I 100
- 2θ 38.0, I 39
- 2θ 41.2, I 66
- 2θ 45.1, I 42
- 2θ 46.0, I 24

Cell and atoms:
Cell lengths 14.8446, 9.4787, 6.9841 Å; angles 90.00, 90.00, 90.00 degrees
Fractional coordinates of all 28 atoms:
Zn (0.0921, 0.2500, 0.1003)
Zn (0.4079, 0.7500, 0.6003)
Zn (0.5921, 0.2500, 0.3997)
Zn (0.9079, 0.7500, 0.8997)
Ga (0.0000, 0.0000, 0.5000)
Ga (0.0000, 0.5000, 0.5000)
Ga (0.2323, 0.7500, 0.0163)
Ga (0.2677, 0.2500, 0.5163)
Ga (0.5000, 0.0000, 0.0000)
Ga (0.5000, 0.5000, 0.0000)
Ga (0.7323, 0.7500, 0.4837)
Ga (0.7677, 0.2500, 0.9837)
Br (0.0612, 0.7500, 0.7624)
Br (0.0825, 0.2500, 0.7539)
Br (0.1716, 0.0466, 0.2361)
Br (0.1716, 0.4534, 0.2361)
Br (0.3284, 0.5466, 0.7361)
Br (0.3284, 0.9534, 0.7361)
Br (0.4175, 0.7500, 0.2539)
Br (0.4388, 0.2500, 0.2624)
Br (0.5612, 0.7500, 0.7376)
Br (0.5825, 0.2500, 0.7461)
Br (0.6716, 0.0466, 0.2639)
Br (0.6716, 0.4534, 0.2639)
Br (0.8284, 0.5466, 0.7639)
Br (0.8284, 0.9534, 0.7639)
Br (0.9175, 0.7500, 0.2461)
Br (0.9388, 0.2500, 0.2376)


# 2
Simulated powder X-ray diffraction pattern
Compound: ZnGa2Br4
Radiation: Cu Kα (λ = 1.5418 Å)
Structure: a DFT-relaxed cell (PBE, Alexandria)
No peak broadening, texture or thermal motion is included.

Peak list (10 most intense, 10 to 90 degrees two-theta, sorted by position)
- 2θ 11.8, I 21
- 2θ 23.7, I 25
- 2θ 26.5, I 31
- 2θ 33.7, I 100
- 2θ 34.4, I 23
- 2θ 36.0, I 18
- 2θ 48.4, I 22
- 2θ 48.9, I 16
- 2θ 50.1, I 27
- 2θ 61.8, I 14

Cell and atoms:
Cell lengths 5.3194, 5.3194, 14.9787 Å; angles 90.00, 90.00, 90.00 degrees
Fractional coordinates of all 14 atoms:
Zn (0.0000, 0.0000, 0.0000)
Zn (0.5000, 0.5000, 0.5000)
Ga (0.0000, 0.0000, 0.3655)
Ga (0.0000, 0.0000, 0.6345)
Ga (0.5000, 0.5000, 0.1345)
Ga (0.5000, 0.5000, 0.8655)
Br (0.0000, 0.0000, 0.1706)
Br (0.0000, 0.0000, 0.8294)
Br (0.0000, 0.5000, 0.0000)
Br (0.0000, 0.5000, 0.5000)
Br (0.5000, 0.0000, 0.0000)
Br (0.5000, 0.0000, 0.5000)
Br (0.5000, 0.5000, 0.3294)
Br (0.5000, 0.5000, 0.6706)


# 3
Simulated powder X-ray diffraction pattern
Compound: ZnGaBr3
Radiation: Cu Kα (λ = 1.5418 Å)
Structure: a DFT-relaxed cell (PBE, Alexandria)
No peak broadening, texture or thermal motion is included.

Peak list (10 most intense, 10 to 90 degrees two-theta, sorted by position)
- 2θ 14.1, I 78
- 2θ 22.0, I 26
- 2θ 25.6, I 53
- 2θ 26.0, I 37
- 2θ 27.6, I 100
- 2θ 31.1, I 29
- 2θ 33.8, I 30
- 2θ 37.1, I 34
- 2θ 44.4, I 30
- 2θ 46.8, I 51

Cell and atoms:
Cell lengths 4.0808, 12.9963, 12.9963 Å; angles 149.39, 90.00, 90.00 degrees
Fractional coordinates of all 10 atoms:
Zn (0.2500, 0.1147, 0.8853)
Zn (0.7500, 0.8853, 0.1147)
Ga (0.2500, 0.3767, 0.7199)
Ga (0.7500, 0.7199, 0.3767)
Br (0.2500, 0.0823, 0.6714)
Br (0.2500, 0.4406, 0.2438)
Br (0.2500, 0.7735, 0.9194)
Br (0.7500, 0.2438, 0.4406)
Br (0.7500, 0.6714, 0.0823)
Br (0.7500, 0.9194, 0.7735)